[1]
Starting from a structure optimized by DFT (PBE), the PXRD pattern of HoTm2Co2B2N3 was computed for Cu Ka.

```
data_HoTm2Co2B2N3
_chemical_formula_sum 'Ho2 Tm4 Co4 B4 N6'
_cell_length_a 3.4226
_cell_length_b 3.4226
_cell_length_c 19.7893
_cell_angle_alpha 90.00
_cell_angle_beta 90.00
_cell_angle_gamma 90.00
_symmetry_space_group_name_H-M 'I 4/m m m'
_symmetry_Int_Tables_number 139
_symmetry_space_group_name_Hall '-I 4 2'
loop_
_atom_site_label
_atom_site_fract_x
_atom_site_fract_y
_atom_site_fract_z
Ho1 0.0000 0.0000 0.0000
Tm1 0.0000 0.0000 0.3768
Co1 0.0000 0.5000 0.2500
B1 0.0000 0.0000 0.1929
N1 0.0000 0.0000 0.1169
N2 0.0000 0.0000 0.5000
```

Peak list (6 most intense, 2θ = 10–80°, in order of rising 2θ)
Position (°2θ), d_spacing, Rel. int.
29.4, 3.038, 100.0
34.6, 2.589, 84.0
36.3, 2.474, 50.0
37.1, 2.420, 41.8
38.3, 2.351, 37.2
53.6, 1.711, 35.2



[2]
Starting from a structure optimized by DFT (PBE), the PXRD pattern of Na2Dy3Te4Cl3O12 was computed for Cu Ka.

```
data_Na2Dy3Te4Cl3O12
_chemical_formula_sum 'Na8 Dy12 Te16 Cl12 O48'
_cell_length_a 23.6575
_cell_length_b 5.5153
_cell_length_c 16.5766
_cell_angle_alpha 90.00
_cell_angle_beta 134.21
_cell_angle_gamma 90.00
_symmetry_space_group_name_H-M 'C 1 2/c 1'
_symmetry_Int_Tables_number 15
loop_
_symmetry_equiv_pos_as_xyz
'x,y,z'
'-x,-y,-z'
'-x,y,-z+1/2'
'x,-y,z+1/2'
'x+1/2,y+1/2,z'
'-x+1/2,-y+1/2,-z'
'-x+1/2,y+1/2,-z+1/2'
'x+1/2,-y+1/2,z+1/2'
loop_
_atom_site_label
_atom_site_fract_x
_atom_site_fract_y
_atom_site_fract_z
Na1 0.1659 0.2242 0.0732
Dy1 0.0000 0.2517 0.7500
Dy2 0.0009 0.2487 0.0850
Te1 0.1359 0.2057 0.7003
Te2 0.1386 0.3001 0.4069
Cl1 0.2497 0.2476 0.6682
Cl2 0.2500 0.2500 0.0000
O1 0.0685 0.0771 0.7142
O2 0.0714 0.4519 0.5914
O3 0.0734 0.4282 0.2582
O4 0.0757 0.0464 0.3886
O5 0.0856 0.0167 0.0776
O6 0.0867 0.4828 0.9281
```

Peak list (6 most intense, 2θ = 10–80°, in order of rising 2θ)
Position (°2θ), d_spacing, Rel. int.
10.4, 8.478, 85.3
25.1, 3.546, 62.5
31.1, 2.876, 100.0
31.2, 2.867, 97.8
32.4, 2.760, 61.1
57.1, 1.613, 36.6



[3]
Starting from a structure optimized by DFT (PBE), the PXRD pattern of ErSiH2O4 was computed for Cu Ka.

```
data_ErSiH2O4
_chemical_formula_sum 'Er8 Si8 H16 O32'
_cell_length_a 9.4838
_cell_length_b 10.5950
_cell_length_c 6.2929
_cell_angle_alpha 90.00
_cell_angle_beta 90.00
_cell_angle_gamma 90.00
_symmetry_space_group_name_H-M 'F d d 2'
_symmetry_Int_Tables_number 43
_symmetry_space_group_name_Hall 'F 2 -2d'
loop_
_atom_site_label
_atom_site_fract_x
_atom_site_fract_y
_atom_site_fract_z
Er1 0.0000 0.0000 0.0000
Si1 0.0000 0.0000 0.5231
H1 0.0379 0.2290 0.6288
O1 0.0601 0.3900 0.1796
O2 0.1210 0.2906 0.6004
```

Peak list (6 most intense, 2θ = 10–80°, in order of rising 2θ)
Position (°2θ), d_spacing, Rel. int.
18.9, 4.700, 76.2
25.2, 3.533, 100.0
33.1, 2.705, 42.6
34.2, 2.622, 38.9
48.9, 1.863, 36.9
51.2, 1.783, 31.1



[4]
Starting from a structure optimized by DFT (PBE), the PXRD pattern of Y5CuTe3 was computed for Cu Ka.

```
data_Y5CuTe3
_chemical_formula_sum 'Y5 Cu1 Te3'
_cell_length_a 8.6248
_cell_length_b 8.6248
_cell_length_c 3.8422
_cell_angle_alpha 90.00
_cell_angle_beta 90.00
_cell_angle_gamma 120.00
_symmetry_space_group_name_H-M 'P -6 2 m'
_symmetry_Int_Tables_number 189
_symmetry_space_group_name_Hall 'P -6 -2'
loop_
_atom_site_label
_atom_site_fract_x
_atom_site_fract_y
_atom_site_fract_z
Y1 0.0000 0.2355 0.0000
Y2 0.3333 0.6667 0.0000
Cu1 0.0000 0.0000 0.5000
Te1 0.0000 0.5745 0.5000
```

Peak list (6 most intense, 2θ = 10–80°, in order of rising 2θ)
Position (°2θ), d_spacing, Rel. int.
31.2, 2.869, 79.2
31.7, 2.823, 70.5
33.5, 2.678, 100.0
50.0, 1.823, 27.4
58.1, 1.588, 24.3
59.0, 1.565, 26.1



[5]
Starting from a structure optimized by DFT (PBE), the PXRD pattern of Dy2Y2CI3Br2 was computed for Cu Ka.

```
data_Dy2Y2CI3Br2
_chemical_formula_sum 'Dy4 Y4 C2 I6 Br4'
_cell_length_a 18.5580
_cell_length_b 3.9227
_cell_length_c 8.5021
_cell_angle_alpha 90.00
_cell_angle_beta 101.69
_cell_angle_gamma 90.00
_symmetry_space_group_name_H-M 'C 1 2/m 1'
_symmetry_Int_Tables_number 12
loop_
_symmetry_equiv_pos_as_xyz
'x,y,z'
'-x,-y,-z'
'-x,y,-z'
'x,-y,z'
'x+1/2,y+1/2,z'
'-x+1/2,-y+1/2,-z'
'-x+1/2,y+1/2,-z'
'x+1/2,-y+1/2,z'
loop_
_atom_site_label
_atom_site_fract_x
_atom_site_fract_y
_atom_site_fract_z
Dy1 0.1321 0.0000 0.0661
Y1 0.0012 0.5000 0.8091
C1 0.0000 0.0000 0.0000
I1 0.0000 0.0000 0.5000
I2 0.1722 0.5000 0.8177
Br1 0.1566 0.5000 0.3183
```

Peak list (6 most intense, 2θ = 10–80°, in order of rising 2θ)
Position (°2θ), d_spacing, Rel. int.
10.6, 8.326, 47.8
29.5, 3.029, 36.9
31.0, 2.882, 100.0
33.7, 2.656, 21.7
42.9, 2.107, 22.5
43.7, 2.069, 21.4



[6]
Starting from a structure optimized by DFT (PBE), the PXRD pattern of ReF was computed for Cu Ka.

```
data_ReF
_chemical_formula_sum 'Re1 F1'
_cell_length_a 2.6103
_cell_length_b 2.6103
_cell_length_c 4.1572
_cell_angle_alpha 90.00
_cell_angle_beta 90.00
_cell_angle_gamma 120.00
_symmetry_space_group_name_H-M 'P -6 m 2'
_symmetry_Int_Tables_number 187
_symmetry_space_group_name_Hall 'P -6 2'
loop_
_atom_site_label
_atom_site_fract_x
_atom_site_fract_y
_atom_site_fract_z
Re1 0.0000 0.0000 0.0000
F1 0.3333 0.6667 0.5000
```

Peak list (6 most intense, 2θ = 10–80°, in order of rising 2θ)
Position (°2θ), d_spacing, Rel. int.
21.4, 4.157, 84.4
39.9, 2.261, 59.8
43.5, 2.079, 20.9
45.7, 1.986, 100.0
60.5, 1.530, 36.2
76.5, 1.245, 17.1



[7]
Starting from a structure optimized by DFT (PBE), the PXRD pattern of Nd2HoMg3Hg2Au was computed for Cu Ka.

```
data_Nd2HoMg3Hg2Au
_chemical_formula_sum 'Nd4 Ho2 Mg6 Hg4 Au2'
_cell_length_a 4.2528
_cell_length_b 13.5358
_cell_length_c 7.8378
_cell_angle_alpha 90.00
_cell_angle_beta 90.00
_cell_angle_gamma 90.00
_symmetry_space_group_name_H-M 'A m m 2'
_symmetry_Int_Tables_number 38
loop_
_symmetry_equiv_pos_as_xyz
'x,y,z'
'-x,-y,z'
'-x,y,z'
'x,-y,z'
'x,y+1/2,z+1/2'
'-x,-y+1/2,z+1/2'
'-x,y+1/2,z+1/2'
'x,-y+1/2,z+1/2'
loop_
_atom_site_label
_atom_site_fract_x
_atom_site_fract_y
_atom_site_fract_z
Nd1 0.0000 0.2028 0.0000
Ho1 0.0000 0.0000 0.6059
Mg1 0.5000 0.0000 0.9632
Mg2 0.5000 0.1186 0.3246
Hg1 0.5000 0.1616 0.7005
Au1 0.0000 0.0000 0.2088
```

Peak list (6 most intense, 2θ = 10–80°, in order of rising 2θ)
Position (°2θ), d_spacing, Rel. int.
22.7, 3.913, 60.8
24.7, 3.602, 33.9
31.1, 2.880, 71.5
33.8, 2.650, 100.0
39.9, 2.259, 46.8
41.1, 2.195, 44.5



[8]
Starting from a structure optimized by DFT (PBE), the PXRD pattern of LiRe3S5 was computed for Cu Ka.

```
data_LiRe3S5
_chemical_formula_sum 'Li1 Re3 S5'
_cell_length_a 5.6280
_cell_length_b 5.6280
_cell_length_c 6.7876
_cell_angle_alpha 90.00
_cell_angle_beta 90.00
_cell_angle_gamma 120.00
_symmetry_space_group_name_H-M 'P 6/m m m'
_symmetry_Int_Tables_number 191
_symmetry_space_group_name_Hall '-P 6 2'
loop_
_atom_site_label
_atom_site_fract_x
_atom_site_fract_y
_atom_site_fract_z
Li1 0.0000 0.0000 0.0000
Re1 0.0000 0.5000 0.5000
S1 0.0000 0.0000 0.5000
S2 0.3333 0.6667 0.2416
```

Peak list (6 most intense, 2θ = 10–80°, in order of rising 2θ)
Position (°2θ), d_spacing, Rel. int.
13.0, 6.788, 100.0
18.2, 4.874, 20.0
36.9, 2.437, 20.6
39.3, 2.294, 42.8
45.8, 1.980, 34.6
55.4, 1.658, 15.2



[9]
Starting from a structure optimized by DFT (PBE), the PXRD pattern of Al6Co was computed for Cu Ka.

```
data_Al6Co
_chemical_formula_sum 'Al24 Co4'
_cell_length_a 7.4557
_cell_length_b 6.4124
_cell_length_c 8.8175
_cell_angle_alpha 90.00
_cell_angle_beta 90.00
_cell_angle_gamma 90.00
_symmetry_space_group_name_H-M 'C m c m'
_symmetry_Int_Tables_number 63
_symmetry_space_group_name_Hall '-C 2c 2'
loop_
_atom_site_label
_atom_site_fract_x
_atom_site_fract_y
_atom_site_fract_z
Al1 0.0000 0.1438 0.1007
Al2 0.1792 0.5000 0.0000
Al3 0.1813 0.2064 0.7500
Co1 0.0000 0.4623 0.2500
```

Peak list (6 most intense, 2θ = 10–80°, in order of rising 2θ)
Position (°2θ), d_spacing, Rel. int.
18.2, 4.862, 35.2
40.2, 2.241, 37.8
41.7, 2.167, 23.9
42.5, 2.129, 60.6
44.1, 2.052, 100.0
45.2, 2.008, 36.6



[10]
Starting from a structure optimized by DFT (PBE), the PXRD pattern of LiNd2IrO6 was computed for Cu Ka.

```
data_LiNd2IrO6
_chemical_formula_sum 'Li2 Nd4 Ir2 O12'
_cell_length_a 5.3954
_cell_length_b 5.7423
_cell_length_c 9.3591
_cell_angle_alpha 90.00
_cell_angle_beta 124.62
_cell_angle_gamma 90.00
_symmetry_space_group_name_H-M 'P 1 21/c 1'
_symmetry_Int_Tables_number 14
loop_
_symmetry_equiv_pos_as_xyz
'x,y,z'
'-x,-y,-z'
'-x,y+1/2,-z+1/2'
'x,-y+1/2,z+1/2'
loop_
_atom_site_label
_atom_site_fract_x
_atom_site_fract_y
_atom_site_fract_z
Li1 0.0000 0.0000 0.0000
Nd1 0.2306 0.0707 0.7482
Ir1 0.5000 0.0000 0.5000
O1 0.1531 0.1926 0.4533
O2 0.2649 0.7100 0.4501
O3 0.3461 0.0253 0.2520
```

Peak list (6 most intense, 2θ = 10–80°, in order of rising 2θ)
Position (°2θ), d_spacing, Rel. int.
19.3, 4.604, 74.4
20.2, 4.398, 42.8
31.2, 2.871, 39.6
32.4, 2.762, 100.0
32.7, 2.741, 99.9
33.2, 2.695, 73.5



[11]
Starting from a structure optimized by DFT (PBE), the PXRD pattern of TlCoNiS3 was computed for Cu Ka.

```
data_TlCoNiS3
_chemical_formula_sum 'Tl4 Co4 Ni4 S12'
_cell_length_a 3.4239
_cell_length_b 13.8905
_cell_length_c 9.3504
_cell_angle_alpha 90.00
_cell_angle_beta 90.00
_cell_angle_gamma 90.00
_symmetry_space_group_name_H-M 'C m c m'
_symmetry_Int_Tables_number 63
_symmetry_space_group_name_Hall '-C 2c 2'
loop_
_atom_site_label
_atom_site_fract_x
_atom_site_fract_y
_atom_site_fract_z
Tl1 0.0000 0.2451 0.2500
Co1 0.0000 0.0000 0.0000
Ni1 0.0000 0.4575 0.7500
S1 0.0000 0.0536 0.7500
S2 0.0000 0.3930 0.5351
```

Peak list (6 most intense, 2θ = 10–80°, in order of rising 2θ)
Position (°2θ), d_spacing, Rel. int.
19.0, 4.675, 37.6
22.9, 3.878, 59.9
25.7, 3.473, 35.1
28.5, 3.132, 49.4
32.1, 2.788, 36.8
33.9, 2.641, 100.0



[12]
Starting from a structure optimized by DFT (PBE), the PXRD pattern of GaHgO3 was computed for Cu Ka.

```
data_GaHgO3
_chemical_formula_sum 'Ga4 Hg4 O12'
_cell_length_a 5.4963
_cell_length_b 7.8241
_cell_length_c 5.2968
_cell_angle_alpha 90.00
_cell_angle_beta 90.00
_cell_angle_gamma 90.00
_symmetry_space_group_name_H-M 'P n m a'
_symmetry_Int_Tables_number 62
loop_
_symmetry_equiv_pos_as_xyz
'x,y,z'
'-x,-y,-z'
'-x+1/2,-y,z+1/2'
'x+1/2,y,-z+1/2'
'x+1/2,-y+1/2,-z+1/2'
'-x+1/2,y+1/2,z+1/2'
'-x,y+1/2,-z'
'x,-y+1/2,z'
loop_
_atom_site_label
_atom_site_fract_x
_atom_site_fract_y
_atom_site_fract_z
Ga1 0.0000 0.0000 0.0000
Hg1 0.0540 0.2500 0.4807
O1 0.0489 0.7500 0.1139
O2 0.2177 0.5610 0.7123
```

Peak list (6 most intense, 2θ = 10–80°, in order of rising 2θ)
Position (°2θ), d_spacing, Rel. int.
23.3, 3.814, 19.4
32.6, 2.748, 18.7
32.8, 2.731, 100.0
33.8, 2.648, 21.7
47.7, 1.907, 18.1
59.9, 1.544, 19.7